[1]
Diffraction record for SrMg. The powder diffractogram is theoretical, not measured: it uses the GGA-PBE geometry in the Materials Project and Cu Kα X-rays.

The 8 most intense peaks (2θ from 15° to 90°), sorted by position:
2θ/deg	intensity
18.96	42
24.22	31
27.61	63
28.81	67
29.91	100
31.26	67
32.41	81
59.21	31

Structural model:
```
6
Lattice="5.6441 -3.2260 0.0000 5.6441 3.2260 0.0000 -3.0785 0.0000 6.1970" Properties=species:S:1:pos:R:3 pbc="T T T"
Sr 0.0000 0.0000 0.0000
Sr 2.2601 0.8362 3.1651
Sr 5.9497 0.8362 3.0319
Mg 3.7230 -0.2040 0.0288
Mg 4.4868 -0.2040 6.1682
Mg 4.1049 -2.3205 3.0985
```

=====

[2]
Diffraction record for SrMg. The powder diffractogram is theoretical, not measured: it uses the GGA-PBE geometry in the Materials Project and Cu Kα X-rays.

The 8 most intense peaks (2θ from 15° to 90°), sorted by position:
2θ/deg	intensity
23.84	40
26.45	25
27.30	20
29.75	37
30.41	100
31.88	34
40.19	31
53.22	20

Structural model:
```
6
Lattice="6.0061 0.0000 0.0000 0.0000 1.9881 9.5251 0.0000 -1.9881 9.5251" Properties=species:S:1:pos:R:3 pbc="T T T"
Sr 0.0000 0.0000 0.0000
Sr 0.0000 0.0000 5.6430
Sr 3.0031 0.0000 16.5829
Mg 0.0000 0.0000 12.3227
Mg 3.0031 0.0000 3.5729
Mg 3.0031 0.0000 10.4333
```

=====

[3]
Diffraction record for SrMg. The powder diffractogram is theoretical, not measured: it uses the GGA-PBE geometry in the Materials Project and Cu Kα X-rays.

The 8 most intense peaks (2θ from 15° to 90°), sorted by position:
2θ/deg	intensity
22.98	23
23.11	32
25.23	48
28.71	45
29.30	100
30.14	59
31.76	88
51.47	25

Structural model:
```
6
Lattice="7.2485 -1.9998 0.0000 7.2485 1.9998 0.0000 -1.8040 0.0000 7.7413" Properties=species:S:1:pos:R:3 pbc="T T T"
Sr 0.0000 0.0000 0.0000
Sr -0.4831 0.0000 3.8806
Sr 8.8892 0.0000 6.7623
Mg 3.7153 0.0000 4.6857
Mg 4.6511 0.0000 1.7023
Mg 9.5130 0.0000 2.5002
```

=====

[4]
Diffraction record for SrMg. The powder diffractogram is theoretical, not measured: it uses the GGA-PBE geometry in the Materials Project and Cu Kα X-rays.

The 8 most intense peaks (2θ from 15° to 90°), sorted by position:
2θ/deg	intensity
17.79	15
22.12	19
24.61	24
29.41	23
30.01	27
30.21	100
42.52	16
53.41	19

Structural model:
```
6
Lattice="5.9549 0.0000 0.0000 0.0000 2.0598 9.1104 0.0000 -2.0598 9.1104" Properties=species:S:1:pos:R:3 pbc="T T T"
Sr 0.0000 0.0000 0.0000
Sr 0.0000 0.0000 5.7004
Sr 2.9775 0.0000 3.0346
Mg 0.0000 0.0000 11.8788
Mg 2.9775 0.0000 9.0655
Mg 2.9775 0.0000 15.7078
```

=====

[5]
Diffraction record for SrMg3. The powder diffractogram is theoretical, not measured: it uses the GGA-PBE geometry in the Materials Project and Cu Kα X-rays.

The 8 most intense peaks (2θ from 15° to 90°), sorted by position:
2θ/deg	intensity
21.95	48
24.75	22
28.65	25
33.32	100
33.64	22
50.76	19
59.96	18
62.28	20

Structural model:
```
8
Lattice="7.1948 0.0000 0.0000 -3.5974 6.2309 0.0000 0.0000 0.0000 5.3279" Properties=species:S:1:pos:R:3 pbc="T T T"
Sr 0.0000 4.1539 1.3320
Sr 3.5974 2.0770 3.9959
Mg 0.0000 1.9089 3.9959
Mg -1.9443 5.2765 3.9959
Mg 1.6532 0.9544 1.3320
Mg 1.9443 5.2765 3.9959
Mg 5.5417 0.9544 1.3320
Mg 3.5974 4.3220 1.3320
```

=====

[6]
Diffraction record for SrMg. The powder diffractogram is theoretical, not measured: it uses the GGA-PBE geometry in the Materials Project and Cu Kα X-rays.

The 8 most intense peaks (2θ from 15° to 90°), sorted by position:
2θ/deg	intensity
26.00	63
29.32	38
29.93	100
32.98	58
39.61	22
52.38	20
55.76	25
59.20	20

Structural model:
```
4
Lattice="4.1489 0.0000 0.0000 0.0000 6.0917 0.0000 0.0000 0.0000 6.0652" Properties=species:S:1:pos:R:3 pbc="T T T"
Sr 1.0372 1.5229 0.5809
Sr 3.1117 4.5688 5.4843
Mg 1.0372 4.5688 2.5128
Mg 3.1117 1.5229 3.5523
```